Record 1
For Mg3Sn3As4O16, a cell relaxed with GGA-PBE gives the calculated powder diffractogram in this record (a wavelength of 1.5418 Å).

Top 12 peaks for 2θ from 5° to 70°, in order of falling intensity:
2θ (°)	intensity	index
25.8	100	2 1 -1
30.0	77	1 1 -5
11.3	67	1 0 -2
33.4	61	3 1 -3
32.3	40	0 2 0
23.2	36	0 0 4
22.5	23	2 0 0
22.1	21	1 1 -3
47.5	19	0 0 8
23.7	18	0 1 3
30.3	18	2 0 2
34.3	17	3 0 -6

Cell and atoms:
a b c (Å): 9.1849 5.5476 17.8099
angles (deg): 90.00 120.69 90.00
Space group P2_1/c (No. 14)
Unique sites:
1 Mg 0.0000 0.0000 0.0000 x2
2 Mg 0.3249 0.0657 0.2787 x4
3 Sn 0.1699 0.0411 0.8647 x4
4 Sn 0.5000 0.0000 0.5000 x2
5 As 0.0178 0.0060 0.6332 x4
6 As 0.4363 0.0402 0.1202 x4
7 O 0.0074 0.6873 0.9473 x4
8 O 0.0758 0.7075 0.6333 x4
9 O 0.1486 0.1573 0.7308 x4
10 O 0.1761 0.0520 0.3701 x4
11 O 0.2503 0.0624 0.0224 x4
12 O 0.4233 0.5261 0.7087 x4
13 O 0.4404 0.7089 0.8667 x4
14 O 0.4446 0.1968 0.8886 x4

Record 2
For GdZn20Co2, a cell relaxed with GGA-PBE gives the calculated powder diffractogram in this record (a wavelength of 1.5418 Å).

Top 12 peaks for 2θ from 5° to 70°, in order of falling intensity:
2θ (°)	intensity	index
37.9	100	5 3 1
42.2	70	5 3 3
42.7	64	6 2 2
40.6	41	6 2 0
55.5	28	6 6 0
46.1	20	7 1 1
66.2	17	9 3 3
44.7	16	4 4 4
38.4	15	4 4 2
69.5	14	6 6 6
36.2	12	4 4 0
68.1	12	10 2 0

Cell and atoms:
a b c (Å): 14.0475 14.0475 14.0475
angles (deg): 90.00 90.00 90.00
Space group Fd-3m (No. 227, origin choice 2)
Unique sites:
1 Gd 0.1250 0.1250 0.1250 x8
2 Zn 0.0000 0.0000 0.0000 x16
3 Zn 0.0110 0.3750 0.8750 x48
4 Zn 0.0589 0.0589 0.3261 x96
5 Co 0.0000 0.0000 0.5000 x16

Record 3
For Lu2MgS4, a cell relaxed with GGA-PBE gives the calculated powder diffractogram in this record (a wavelength of 1.5418 Å).

Top 12 peaks for 2θ from 5° to 70°, in order of falling intensity:
2θ (°)	intensity	index
27.6	100	2 1 0
15.3	91	1 0 2
24.9	86	2 0 3
34.9	54	3 1 2
42.9	41	4 1 3
42.6	40	1 1 5
32.7	37	3 1 1
9.8	36	1 0 1
48.5	36	6 0 3
31.3	30	0 1 3
45.7	28	5 1 2
48.1	24	0 2 0

Cell and atoms:
a b c (Å): 12.4718 3.7850 13.1057
angles (deg): 90.00 90.00 90.00
Space group Pnma (No. 62)
Unique sites:
1 Lu 0.1142 0.2500 0.0775 x4
2 Lu 0.1427 0.2500 0.7038 x4
3 Mg 0.1173 0.7500 0.4399 x4
4 S 0.0162 0.7500 0.6151 x4
5 S 0.0294 0.2500 0.8821 x4
6 S 0.2216 0.2500 0.2536 x4
7 S 0.2440 0.2500 0.5175 x4

Record 4
For Mg4Zn7, a cell relaxed with GGA-PBE gives the calculated powder diffractogram in this record (a wavelength of 1.5418 Å).

Top 12 peaks for 2θ from 5° to 70°, in order of falling intensity:
2θ (°)	intensity	index
40.4	100	7 1 -5
40.8	60	2 2 3
40.3	59	6 2 0
38.7	53	4 0 -6
42.2	45	12 0 -1
41.4	39	2 0 6
69.9	39	2 2 -9
36.2	37	9 1 -2
19.3	32	0 0 3
38.2	29	9 1 1
42.9	28	6 2 -3
20.8	21	6 0 -1

Cell and atoms:
a b c (Å): 25.7663 5.2868 14.1406
angles (deg): 90.00 102.57 90.00
Space group C2 (No. 5)
Unique sites:
1 Mg 0.0057 0.0000 0.4027 x4
2 Mg 0.0177 0.5000 0.8993 x4
3 Mg 0.0343 0.0000 0.2128 x4
4 Mg 0.0595 0.5000 0.5490 x4
5 Mg 0.1274 0.0000 0.6025 x4
6 Mg 0.1428 0.5000 0.9276 x4
7 Mg 0.1631 0.0000 0.2486 x4
8 Mg 0.1787 0.0000 0.8252 x4
9 Mg 0.1964 0.5000 0.1497 x4
10 Mg 0.2157 0.0000 0.4757 x4
11 Zn 0.0000 0.0000 0.0000 x2
12 Zn 0.0174 0.5000 0.3198 x4
13 Zn 0.0675 0.2450 0.7440 x4
14 Zn 0.0675 0.7550 0.7440 x4
15 Zn 0.0788 0.0000 0.9083 x4
16 Zn 0.0860 0.2560 0.0707 x4
17 Zn 0.0860 0.7440 0.0707 x4
18 Zn 0.0992 0.5000 0.2332 x4
19 Zn 0.1077 0.2372 0.3994 x4
20 Zn 0.1077 0.7628 0.3994 x4
21 Zn 0.1510 0.5000 0.7146 x4
22 Zn 0.1696 0.0000 0.0343 x4
23 Zn 0.1707 0.5000 0.5370 x4
24 Zn 0.1874 0.5000 0.3586 x4
25 Zn 0.2334 0.2437 0.6755 x4
26 Zn 0.2334 0.7563 0.6755 x4
27 Zn 0.2425 0.5000 0.8393 x4
28 Zn 0.2480 0.7499 0.9981 x4

Record 5
For PdAu2N4Cl8, a cell relaxed with GGA-PBE gives the calculated powder diffractogram in this record (a wavelength of 1.5418 Å).

Top 12 peaks for 2θ from 5° to 70°, in order of falling intensity:
2θ (°)	intensity	index
13.2	100	0 1 -1
22.6	42	1 1 0
14.1	35	1 0 -1
21.6	26	1 0 1
30.3	17	1 2 -1
28.4	14	2 -2 0
36.9	14	2 -3 1
36.7	11	2 1 -3
40.6	10	3 -2 1
46.2	9	2 2 0
26.6	9	0 2 -2
34.8	9	1 0 -3

Cell and atoms:
a b c (Å): 7.7004 7.9259 8.3335
angles (deg): 111.78 104.10 107.62
Space group P-1 (No. 2)
Unique sites:
1 Pd 0.0000 0.0000 0.0000 x1
2 Au 0.2506 0.7342 0.7051 x2
3 N 0.1879 0.2033 0.7180 x2
4 N 0.2281 0.1677 0.0392 x2
5 Cl 0.0389 0.8527 0.6306 x2
6 Cl 0.1807 0.8047 0.9662 x2
7 Cl 0.3311 0.6570 0.4603 x2
8 Cl 0.4553 0.6107 0.7896 x2